For Er3Sc3In, DFT lattice parameters and positions (PBE) gives the computed powder diffractogram in this record (Cu Ka).

Largest 8 diffraction maxima, sorted by position, 10 to 80 degrees two-theta:
| d/Å | Rel. int. |
| --- | --- |
| 7.775 | 22 |
| 2.939 | 26 |
| 2.656 | 25 |
| 2.572 | 100 |
| 1.971 | 17 |
| 1.697 | 17 |
| 1.517 | 19 |
| 1.430 | 19 |

Crystal structure
```
data_Er3Sc3In
_chemical_formula_sum 'Er6 Sc6 In2'
_space_group_name_H-M_alt 'P 1'
_space_group_IT_number 1
_space_group_name_Hall 'P 1'
_cell_length_a 8.978
_cell_length_b 8.978
_cell_length_c 5.313
_cell_angle_alpha 90.00
_cell_angle_beta 90.00
_cell_angle_gamma 120.00
loop_
_atom_site_label
_atom_site_fract_x
_atom_site_fract_y
_atom_site_fract_z
Er1 0.069 0.251 0.250
Er2 0.182 0.931 0.250
Er3 0.251 0.182 0.750
Er4 0.749 0.818 0.250
Er5 0.818 0.069 0.750
Er6 0.931 0.749 0.750
Sc1 0.108 0.491 0.750
Sc2 0.382 0.892 0.750
Sc3 0.491 0.382 0.250
Sc4 0.509 0.618 0.750
Sc5 0.618 0.108 0.250
Sc6 0.892 0.509 0.250
In1 0.333 0.667 0.250
In2 0.667 0.333 0.750
```

=====

For TbMg9Au2, DFT lattice parameters and positions (PBE) gives the computed powder diffractogram in this record (Cu Ka).

Largest 8 diffraction maxima, sorted by position, 10 to 80 degrees two-theta:
| d/Å | Rel. int. |
| --- | --- |
| 4.328 | 100 |
| 3.169 | 38 |
| 3.010 | 59 |
| 2.962 | 36 |
| 2.650 | 40 |
| 2.164 | 48 |
| 1.886 | 29 |
| 1.325 | 29 |

Crystal structure
```
data_TbMg9Au2
_chemical_formula_sum 'Tb2 Mg18 Au4'
_space_group_name_H-M_alt 'P 1'
_space_group_IT_number 1
_space_group_name_Hall 'P 1'
_cell_length_a 9.179
_cell_length_b 9.179
_cell_length_c 9.179
_cell_angle_alpha 99.62
_cell_angle_beta 99.62
_cell_angle_gamma 131.75
loop_
_atom_site_label
_atom_site_fract_x
_atom_site_fract_y
_atom_site_fract_z
Tb1 0.375 0.625 0.750
Tb2 0.625 0.375 0.250
Mg1 0.125 0.875 0.250
Mg2 0.130 0.561 0.326
Mg3 0.130 0.804 0.570
Mg4 0.196 0.266 0.326
Mg5 0.196 0.870 0.930
Mg6 0.266 0.196 0.826
Mg7 0.266 0.439 0.070
Mg8 0.439 0.266 0.570
Mg9 0.439 0.870 0.174
Mg10 0.561 0.130 0.826
Mg11 0.561 0.734 0.430
Mg12 0.734 0.561 0.930
Mg13 0.734 0.804 0.174
Mg14 0.804 0.130 0.070
Mg15 0.804 0.734 0.674
Mg16 0.870 0.196 0.430
Mg17 0.870 0.439 0.674
Mg18 0.875 0.125 0.750
Au1 0.000 0.000 0.000
Au2 0.000 0.000 0.500
Au3 0.000 0.500 0.000
Au4 0.500 0.000 0.500
```

=====

For SrGa4Ag2Pd, DFT lattice parameters and positions (PBE) gives the computed powder diffractogram in this record (Cu Ka).

Largest 8 diffraction maxima, sorted by position, 10 to 80 degrees two-theta:
| d/Å | Rel. int. |
| --- | --- |
| 3.381 | 16 |
| 2.609 | 87 |
| 2.220 | 100 |
| 2.144 | 39 |
| 1.691 | 23 |
| 1.345 | 21 |
| 1.282 | 16 |
| 1.267 | 13 |

Crystal structure
```
data_SrGa4Ag2Pd
_chemical_formula_sum 'Sr1 Ga4 Ag2 Pd1'
_space_group_name_H-M_alt 'P 1'
_space_group_IT_number 1
_space_group_name_Hall 'P 1'
_cell_length_a 9.809
_cell_length_b 9.809
_cell_length_c 9.809
_cell_angle_alpha 26.16
_cell_angle_beta 26.16
_cell_angle_gamma 26.16
loop_
_atom_site_label
_atom_site_fract_x
_atom_site_fract_y
_atom_site_fract_z
Sr1 0.000 0.000 0.000
Ga1 0.133 0.133 0.133
Ga2 0.405 0.405 0.405
Ga3 0.595 0.595 0.595
Ga4 0.867 0.867 0.867
Ag1 0.238 0.238 0.238
Ag2 0.762 0.762 0.762
Pd1 0.500 0.500 0.500
```

=====

For VIr, DFT lattice parameters and positions (PBE) gives the computed powder diffractogram in this record (Cu Ka).

Largest 8 diffraction maxima, sorted by position, 10 to 80 degrees two-theta:
| d/Å | Rel. int. |
| --- | --- |
| 3.381 | 49 |
| 2.914 | 50 |
| 2.815 | 41 |
| 2.207 | 99 |
| 2.163 | 100 |
| 2.102 | 31 |
| 2.024 | 89 |
| 1.737 | 37 |

Crystal structure
```
data_VIr
_chemical_formula_sum 'V2 Ir2'
_space_group_name_H-M_alt 'P 1'
_space_group_IT_number 1
_space_group_name_Hall 'P 1'
_cell_length_a 4.463
_cell_length_b 4.463
_cell_length_c 2.815
_cell_angle_alpha 90.00
_cell_angle_beta 90.00
_cell_angle_gamma 98.49
loop_
_atom_site_label
_atom_site_fract_x
_atom_site_fract_y
_atom_site_fract_z
V1 0.204 0.204 0.000
V2 0.796 0.796 0.000
Ir1 0.284 0.716 0.500
Ir2 0.716 0.284 0.500
```

=====

For Nd10Bi3Te3, DFT lattice parameters and positions (PBE) gives the computed powder diffractogram in this record (Cu Ka).

Largest 8 diffraction maxima, sorted by position, 10 to 80 degrees two-theta:
| d/Å | Rel. int. |
| --- | --- |
| 3.242 | 22 |
| 3.090 | 26 |
| 2.789 | 100 |
| 2.725 | 65 |
| 2.673 | 88 |
| 2.140 | 20 |
| 1.908 | 22 |
| 1.771 | 26 |

Crystal structure
```
data_Nd10Bi3Te3
_chemical_formula_sum 'Nd10 Bi3 Te3'
_space_group_name_H-M_alt 'P 1'
_space_group_IT_number 1
_space_group_name_Hall 'P 1'
_cell_length_a 9.440
_cell_length_b 9.440
_cell_length_c 6.485
_cell_angle_alpha 90.00
_cell_angle_beta 90.00
_cell_angle_gamma 120.00
loop_
_atom_site_label
_atom_site_fract_x
_atom_site_fract_y
_atom_site_fract_z
Nd1 0.000 0.253 0.000
Nd2 0.000 0.748 0.500
Nd3 0.252 0.252 0.500
Nd4 0.253 0.000 0.000
Nd5 0.333 0.667 0.251
Nd6 0.333 0.667 0.749
Nd7 0.667 0.333 0.251
Nd8 0.667 0.333 0.749
Nd9 0.747 0.747 0.000
Nd10 0.748 0.000 0.500
Bi1 0.000 0.613 0.000
Bi2 0.387 0.387 0.000
Bi3 0.613 0.000 0.000
Te1 0.000 0.384 0.500
Te2 0.384 0.000 0.500
Te3 0.616 0.616 0.500
```

=====

For Pm6HoTe8, DFT lattice parameters and positions (PBE) gives the computed powder diffractogram in this record (Cu Ka).

Largest 8 diffraction maxima, sorted by position, 10 to 80 degrees two-theta:
| d/Å | Rel. int. |
| --- | --- |
| 7.258 | 6 |
| 3.791 | 4 |
| 3.143 | 100 |
| 2.222 | 76 |
| 1.815 | 27 |
| 1.572 | 13 |
| 1.406 | 35 |
| 1.283 | 26 |

Crystal structure
```
data_Pm6HoTe8
_chemical_formula_sum 'Pm6 Ho1 Te8'
_space_group_name_H-M_alt 'P 1'
_space_group_IT_number 1
_space_group_name_Hall 'P 1'
_cell_length_a 8.890
_cell_length_b 8.890
_cell_length_c 8.890
_cell_angle_alpha 60.00
_cell_angle_beta 60.00
_cell_angle_gamma 60.00
loop_
_atom_site_label
_atom_site_fract_x
_atom_site_fract_y
_atom_site_fract_z
Pm1 0.000 0.000 0.500
Pm2 0.000 0.500 0.000
Pm3 0.000 0.500 0.500
Pm4 0.500 0.000 0.000
Pm5 0.500 0.000 0.500
Pm6 0.500 0.500 0.000
Ho1 0.000 0.000 0.000
Te1 0.250 0.250 0.250
Te2 0.250 0.250 0.750
Te3 0.250 0.750 0.250
Te4 0.250 0.750 0.750
Te5 0.750 0.250 0.250
Te6 0.750 0.250 0.750
Te7 0.750 0.750 0.250
Te8 0.750 0.750 0.750
```